The following is a calculated X-ray powder pattern of B2Pd5. It was derived from DFT lattice parameters and positions (GGA-PBE), using Cu Kα (weighted mean of Kα1 and Kα2).

Peak list (6 most intense, 2θ from 15° to 90°, in order of rising 2θ)
2θ/deg, I/Imax
35.8, 25.1
37.2, 61.5
39.3, 100.0
39.5, 51.0
41.0, 45.8
45.1, 20.2

Atomic structure:
```
data_B2Pd5
_cell_length_a 6.954
_cell_length_b 6.954
_cell_length_c 5.532
_cell_angle_alpha 96.61
_cell_angle_beta 96.61
_cell_angle_gamma 42.25
_symmetry_space_group_name_H-M 'P 1'
_symmetry_Int_Tables_number 1
_symmetry_space_group_name_Hall 'P 1'
loop_
_atom_site_label
_atom_site_type_symbol
_atom_site_fract_x
_atom_site_fract_y
_atom_site_fract_z
_atom_site_occupancy
B1 B 0.087 0.684 0.922 1
B2 B 0.316 0.913 0.578 1
B3 B 0.684 0.087 0.422 1
B4 B 0.913 0.316 0.078 1
Pd1 Pd 0.069 0.931 0.250 1
Pd2 Pd 0.142 0.283 0.815 1
Pd3 Pd 0.283 0.142 0.315 1
Pd4 Pd 0.313 0.495 0.581 1
Pd5 Pd 0.495 0.313 0.081 1
Pd6 Pd 0.505 0.687 0.919 1
Pd7 Pd 0.687 0.505 0.419 1
Pd8 Pd 0.717 0.858 0.685 1
Pd9 Pd 0.858 0.717 0.185 1
Pd10 Pd 0.931 0.069 0.750 1
```

---

The following is a calculated X-ray powder pattern of Sm2P3Pt4. It was derived from DFT lattice parameters and positions (GGA-PBE), using Cu Kα (weighted mean of Kα1 and Kα2).

Peak list (6 most intense, 2θ from 15° to 90°, in order of rising 2θ)
2θ/deg, I/Imax
31.8, 100.0
35.9, 45.4
39.6, 26.3
43.4, 42.6
54.9, 18.6
72.4, 15.5

Atomic structure:
```
data_Sm2P3Pt4
_cell_length_a 9.959
_cell_length_b 9.959
_cell_length_c 9.959
_cell_angle_alpha 155.85
_cell_angle_beta 155.85
_cell_angle_gamma 34.42
_symmetry_space_group_name_H-M 'P 1'
_symmetry_Int_Tables_number 1
_symmetry_space_group_name_Hall 'P 1'
loop_
_atom_site_label
_atom_site_type_symbol
_atom_site_fract_x
_atom_site_fract_y
_atom_site_fract_z
_atom_site_occupancy
Sm1 Sm 0.128 0.128 0.000 1
Sm2 Sm 0.872 0.872 0.000 1
P1 P 0.250 0.750 0.500 1
P2 P 0.426 0.426 0.000 1
P3 P 0.574 0.574 0.000 1
Pt1 Pt 0.000 0.500 0.500 1
Pt2 Pt 0.304 0.304 0.000 1
Pt3 Pt 0.500 0.000 0.500 1
Pt4 Pt 0.696 0.696 0.000 1
```

---

The following is a calculated X-ray powder pattern of Hf5GaSn3. It was derived from DFT lattice parameters and positions (GGA-PBE), using Cu Kα (weighted mean of Kα1 and Kα2).

Peak list (6 most intense, 2θ from 15° to 90°, in order of rising 2θ)
2θ/deg, I/Imax
35.2, 72.8
35.9, 78.9
37.2, 100.0
52.7, 26.9
57.5, 18.1
75.5, 18.7

Atomic structure:
```
data_Hf5GaSn3
_cell_length_a 8.661
_cell_length_b 8.661
_cell_length_c 5.829
_cell_angle_alpha 90.00
_cell_angle_beta 90.00
_cell_angle_gamma 120.00
_symmetry_space_group_name_H-M 'P 1'
_symmetry_Int_Tables_number 1
_symmetry_space_group_name_Hall 'P 1'
loop_
_atom_site_label
_atom_site_type_symbol
_atom_site_fract_x
_atom_site_fract_y
_atom_site_fract_z
_atom_site_occupancy
Hf1 Hf 0.000 0.268 0.250 1
Hf2 Hf 0.000 0.732 0.750 1
Hf3 Hf 0.268 0.000 0.250 1
Hf4 Hf 0.268 0.268 0.750 1
Hf5 Hf 0.333 0.667 0.000 1
Hf6 Hf 0.333 0.667 0.500 1
Hf7 Hf 0.667 0.333 0.000 1
Hf8 Hf 0.667 0.333 0.500 1
Hf9 Hf 0.732 0.000 0.750 1
Hf10 Hf 0.732 0.732 0.250 1
Ga1 Ga 0.000 0.000 0.000 1
Ga2 Ga 0.000 0.000 0.500 1
Sn1 Sn 0.000 0.389 0.750 1
Sn2 Sn 0.000 0.611 0.250 1
Sn3 Sn 0.389 0.000 0.750 1
Sn4 Sn 0.389 0.389 0.250 1
Sn5 Sn 0.611 0.000 0.250 1
Sn6 Sn 0.611 0.611 0.750 1
```

---

The following is a calculated X-ray powder pattern of TmPaRu2. It was derived from DFT lattice parameters and positions (GGA-PBE), using Cu Kα (weighted mean of Kα1 and Kα2).

Peak list (6 most intense, 2θ from 15° to 90°, in order of rising 2θ)
2θ/deg, I/Imax
26.2, 11.8
37.3, 100.0
53.8, 17.5
60.8, 5.2
67.3, 35.7
79.6, 11.2

Atomic structure:
```
data_TmPaRu2
_cell_length_a 4.819
_cell_length_b 4.819
_cell_length_c 4.819
_cell_angle_alpha 60.00
_cell_angle_beta 60.00
_cell_angle_gamma 60.00
_symmetry_space_group_name_H-M 'P 1'
_symmetry_Int_Tables_number 1
_symmetry_space_group_name_Hall 'P 1'
loop_
_atom_site_label
_atom_site_type_symbol
_atom_site_fract_x
_atom_site_fract_y
_atom_site_fract_z
_atom_site_occupancy
Tm1 Tm 0.000 0.000 0.000 1
Pa1 Pa 0.500 0.500 0.500 1
Ru1 Ru 0.250 0.250 0.250 1
Ru2 Ru 0.750 0.750 0.750 1
```

---

The following is a calculated X-ray powder pattern of LiCo6P4. It was derived from DFT lattice parameters and positions (GGA-PBE), using Cu Kα (weighted mean of Kα1 and Kα2).

Peak list (6 most intense, 2θ from 15° to 90°, in order of rising 2θ)
2θ/deg, I/Imax
15.6, 60.9
31.1, 31.9
41.8, 100.0
48.2, 34.3
50.7, 78.4
56.3, 23.6

Atomic structure:
```
data_LiCo6P4
_cell_length_a 6.540
_cell_length_b 6.540
_cell_length_c 3.336
_cell_angle_alpha 90.00
_cell_angle_beta 90.00
_cell_angle_gamma 120.00
_symmetry_space_group_name_H-M 'P 1'
_symmetry_Int_Tables_number 1
_symmetry_space_group_name_Hall 'P 1'
loop_
_atom_site_label
_atom_site_type_symbol
_atom_site_fract_x
_atom_site_fract_y
_atom_site_fract_z
_atom_site_occupancy
Li1 Li 0.000 0.000 0.000 1
Co1 Co 0.200 0.400 0.500 1
Co2 Co 0.200 0.800 0.500 1
Co3 Co 0.536 0.072 0.000 1
Co4 Co 0.536 0.464 0.000 1
Co5 Co 0.600 0.800 0.500 1
Co6 Co 0.928 0.464 0.000 1
P1 P 0.333 0.667 0.000 1
P2 P 0.367 0.184 0.500 1
P3 P 0.816 0.184 0.500 1
P4 P 0.816 0.633 0.500 1
```

---

The following is a calculated X-ray powder pattern of EuBr2O. It was derived from DFT lattice parameters and positions (GGA-PBE), using Cu Kα (weighted mean of Kα1 and Kα2).

Peak list (6 most intense, 2θ from 15° to 90°, in order of rising 2θ)
2θ/deg, I/Imax
16.5, 44.0
25.0, 44.4
30.2, 71.3
31.6, 100.0
38.6, 36.0
55.1, 42.4

Atomic structure:
```
data_EuBr2O
_cell_length_a 10.730
_cell_length_b 4.127
_cell_length_c 9.236
_cell_angle_alpha 90.00
_cell_angle_beta 90.00
_cell_angle_gamma 90.00
_symmetry_space_group_name_H-M 'P 1'
_symmetry_Int_Tables_number 1
_symmetry_space_group_name_Hall 'P 1'
loop_
_atom_site_label
_atom_site_type_symbol
_atom_site_fract_x
_atom_site_fract_y
_atom_site_fract_z
_atom_site_occupancy
Eu1 Eu 0.221 0.250 0.107 1
Eu2 Eu 0.279 0.750 0.607 1
Eu3 Eu 0.721 0.250 0.393 1
Eu4 Eu 0.779 0.750 0.893 1
Br1 Br 0.097 0.750 0.885 1
Br2 Br 0.116 0.750 0.332 1
Br3 Br 0.384 0.250 0.832 1
Br4 Br 0.403 0.250 0.385 1
Br5 Br 0.597 0.750 0.615 1
Br6 Br 0.616 0.750 0.168 1
Br7 Br 0.884 0.250 0.668 1
Br8 Br 0.903 0.250 0.115 1
O1 O 0.197 0.250 0.608 1
O2 O 0.303 0.750 0.108 1
O3 O 0.697 0.250 0.892 1
O4 O 0.803 0.750 0.392 1
```